[1]
Starting from a structure optimized by DFT (GGA+U), the powder diffractogram of Li9Co7O16 was calculated for Cu Kα (weighted mean of Kα1 and Kα2).
Intensities are scaled so that the largest is 100.

Atomic structure:
a = 8.1701 Å, b = 2.9339 Å, c = 11.7643 Å
α = 90.00°, β = 90.92°, γ = 90.00°
Space group P2/m (No. 10)
Symmetry-distinct sites (fractional):
Li  0.0000  0.0000  0.0000 (multiplicity 1)
Li  0.0000  0.0000  0.5000 (multiplicity 1)
Li  0.2507  0.5000  0.1237 (multiplicity 2)
Li  0.2633  0.5000  0.6223 (multiplicity 2)
Li  0.4982  0.0000  0.2577 (multiplicity 2)
Li  0.5000  0.0000  0.5000 (multiplicity 1)
Co  0.0012  0.0000  0.7462 (multiplicity 2)
Co  0.2477  0.5000  0.8748 (multiplicity 2)
Co  0.2570  0.5000  0.3784 (multiplicity 2)
Co  0.5000  0.0000  0.0000 (multiplicity 1)
O  0.0058  0.5000  0.8678 (multiplicity 2)
O  0.0148  0.5000  0.3694 (multiplicity 2)
O  0.2408  0.0000  0.7519 (multiplicity 2)
O  0.2430  0.0000  0.2655 (multiplicity 2)
O  0.2497  0.0000  0.4831 (multiplicity 2)
O  0.2549  0.0000  0.9960 (multiplicity 2)
O  0.4756  0.5000  0.3731 (multiplicity 2)
O  0.4910  0.5000  0.8818 (multiplicity 2)

Largest 12 diffraction maxima, sorted by position, 2θ = 5–70°:
| 2θ/deg | I (rel.) | index |
| --- | --- | --- |
| 7.52 | 9 | 0 0 1 |
| 18.45 | 100 | 1 0 -2 |
| 36.01 | 28 | 1 1 2 |
| 36.59 | 12 | 3 0 2 |
| 37.75 | 8 | 2 1 0 |
| 43.58 | 55 | 0 1 4 |
| 44.35 | 26 | 4 0 0 |
| 47.94 | 14 | 1 0 6 |
| 57.50 | 11 | 1 1 -6 |
| 63.41 | 8 | 0 2 0 |
| 63.52 | 14 | 4 1 -4 |
| 64.34 | 14 | 4 1 4 |

[2]
Starting from a structure optimized by DFT (GGA+U), the powder diffractogram of Na5V3O12 was calculated for Cu Kα (weighted mean of Kα1 and Kα2).
Intensities are scaled so that the largest is 100.

Atomic structure:
a = 5.7905 Å, b = 9.7111 Å, c = 21.3004 Å
α = 90.00°, β = 90.00°, γ = 90.00°
Space group C222_1 (No. 20)
Symmetry-distinct sites (fractional):
Na  0.0064  0.0308  0.1673 (multiplicity 8)
Na  0.0153  0.0000  0.0000 (multiplicity 4)
Na  0.0257  0.3207  0.9428 (multiplicity 8)
V  0.0000  0.3947  0.2500 (multiplicity 4)
V  0.0064  0.3581  0.4028 (multiplicity 8)
O  0.0223  0.2882  0.3220 (multiplicity 8)
O  0.0403  0.2283  0.8407 (multiplicity 8)
O  0.0640  0.2300  0.4558 (multiplicity 8)
O  0.2038  0.4884  0.4139 (multiplicity 8)
O  0.2309  0.4972  0.2455 (multiplicity 8)
O  0.2361  0.0745  0.5837 (multiplicity 8)

Largest 12 diffraction maxima, sorted by position, 2θ = 5–70°:
| 2θ/deg | I (rel.) | index |
| --- | --- | --- |
| 17.83 | 16 | 1 1 0 |
| 18.32 | 48 | 1 1 1 |
| 18.74 | 47 | 0 2 1 |
| 25.08 | 15 | 0 0 6 |
| 30.93 | 100 | 2 0 0 |
| 31.67 | 39 | 1 3 0 |
| 31.95 | 17 | 1 3 1 |
| 34.79 | 23 | 0 2 7 |
| 42.88 | 10 | 0 4 5 |
| 47.20 | 12 | 2 2 7 |
| 55.42 | 10 | 3 3 0 |
| 55.79 | 22 | 2 4 6 |

[3]
Starting from a structure optimized by DFT (GGA+U), the powder diffractogram of La2ZnMoO6 was calculated for Cu Kα (weighted mean of Kα1 and Kα2).
Intensities are scaled so that the largest is 100.

Atomic structure:
a = 5.7951 Å, b = 5.7951 Å, c = 13.6632 Å
α = 90.00°, β = 90.00°, γ = 120.00°
Space group R-3 (No. 148, hexagonal axes)
Symmetry-distinct sites (fractional):
La  0.0000  0.0000  0.2495 (multiplicity 6)
Zn  0.0000  0.0000  0.5000 (multiplicity 3)
Mo  0.0000  0.0000  0.0000 (multiplicity 3)
O  0.0060  0.5956  0.7496 (multiplicity 18)

Largest 12 diffraction maxima, sorted by position, 2θ = 5–70°:
| 2θ/deg | I (rel.) | index |
| --- | --- | --- |
| 21.98 | 9 | 0 1 2 |
| 30.86 | 97 | 1 1 0 |
| 31.69 | 100 | 1 0 4 |
| 36.76 | 4 | 1 1 3 |
| 38.21 | 9 | 2 0 2 |
| 39.58 | 4 | 0 0 6 |
| 44.82 | 53 | 0 2 4 |
| 54.88 | 27 | 3 0 0 |
| 55.40 | 43 | 2 1 4 |
| 56.95 | 19 | 0 1 8 |
| 64.30 | 14 | 2 2 0 |
| 66.19 | 16 | 2 0 8 |